Record 1
Structure and simulated X-ray diffraction stick pattern of LiBS2 (the GGA-PBE geometry in Alexandria; Cu Ka).

Main lines, in order of rising 2θ (5 to 70 degrees two-theta):
two_theta	I/Imax
18.8	38
34.2	14
34.6	100
42.8	12
43.9	11
55.9	12
59.7	7
61.5	16
66.4	10
69.7	7

Crystal structure
```
LiBS2
1.0
6.681 0.000 0.000
0.000 6.681 0.000
0.000 0.000 5.243
Li B S
4 4 8
direct
0.000 0.000 0.250 Li
0.000 0.000 0.750 Li
0.500 0.500 0.250 Li
0.500 0.500 0.750 Li
0.000 0.500 0.250 B
0.000 0.500 0.750 B
0.500 0.000 0.250 B
0.500 0.000 0.750 B
0.151 0.349 0.000 S
0.151 0.651 0.500 S
0.349 0.151 0.500 S
0.349 0.849 0.000 S
0.651 0.151 0.000 S
0.651 0.849 0.500 S
0.849 0.349 0.500 S
0.849 0.651 0.000 S
```


Record 2
Structure and simulated X-ray diffraction stick pattern of Ba4P (the GGA-PBE geometry in Alexandria; Cu Ka).

Main lines, in order of rising 2θ (5 to 70 degrees two-theta):
two_theta	I/Imax
22.5	15
23.1	35
25.3	100
25.5	45
32.5	19
32.6	12
39.7	22
42.0	24
46.4	21
47.4	16

Crystal structure
```
Ba4P
1.0
0.000 7.842 4.585
7.689 0.000 4.585
7.689 7.842 0.000
Ba P
8 2
direct
0.223 0.803 0.951 Ba
0.227 0.299 0.447 Ba
0.299 0.227 0.027 Ba
0.301 0.699 0.532 Ba
0.699 0.301 0.468 Ba
0.718 0.782 0.949 Ba
0.782 0.718 0.551 Ba
0.803 0.223 0.023 Ba
0.257 0.257 0.743 P
0.507 0.507 0.993 P
```